For Pu8CuRh5, a crystal structure in Alexandria, relaxed with GGA-PBE gives the computed X-ray powder pattern in this record (Cu Kα, 1.54184 Å).

Structure:
a = 8.566 Å, b = 8.566 Å, c = 8.465 Å
α = 90.00°, β = 90.00°, γ = 90.00°
Space group I-4 (No. 82)
One atom of each set of equivalent atoms:
Pu  0.070  0.318  0.443 x8
Pu  0.071  0.175  0.806 x8
Cu  0.000  0.500  0.750 x2
Rh  0.000  0.000  0.500 x2
Rh  0.129  0.251  0.122 x8

The 6 most intense peaks (2θ = 5–70°), sorted by position:
- 33.1°, I 100, hkl 1 3 0
- 33.4°, I 48, hkl 1 0 3
- 39.4°, I 35, hkl 2 3 1
- 39.5°, I 33, hkl 1 3 2
- 39.7°, I 33, hkl 1 2 3
- 52.4°, I 23, hkl 4 2 2